Structure and calculated X-ray powder pattern of Cs3HgTe3 (a GGA-PBE-relaxed structure; Cu Kα (weighted mean of Kα1 and Kα2)).
Lines closer than 0.1° are merged.

Structure:
abc: 11.028 11.028 7.811
angles: 90.00 90.00 120.00
Fractional positions:
Cs  0.079  0.367  0.250
Cs  0.288  0.921  0.250
Cs  0.367  0.288  0.750
Cs  0.633  0.712  0.250
Cs  0.712  0.079  0.750
Cs  0.921  0.633  0.750
Hg  0.333  0.667  0.750
Hg  0.667  0.333  0.250
Te  0.094  0.404  0.750
Te  0.310  0.906  0.750
Te  0.404  0.310  0.250
Te  0.596  0.690  0.750
Te  0.690  0.094  0.250
Te  0.906  0.596  0.250

Top 10 peaks for 2θ from 15° to 90°, in order of rising 2θ:
Position (°2θ), I_rel
21.81, 27.7
22.77, 93.4
24.66, 100.0
28.03, 51.5
33.82, 95.7
36.41, 48.6
41.19, 34.1
47.59, 26.0
53.37, 35.9
58.78, 22.0


Structure and calculated X-ray powder pattern of Cs3Tl2Hg5Te2 (a GGA-PBE-relaxed structure; Cu Kα (weighted mean of Kα1 and Kα2)).
Lines closer than 0.1° are merged.

Structure:
abc: 19.508 19.508 19.508
angles: 163.87 163.87 22.89
Fractional positions:
Cs  0.000  0.000  0.000
Cs  0.204  0.204  0.000
Cs  0.796  0.796  0.000
Tl  0.381  0.381  0.000
Tl  0.619  0.619  0.000
Hg  0.070  0.570  0.500
Hg  0.430  0.930  0.500
Hg  0.500  0.500  0.000
Hg  0.570  0.070  0.500
Hg  0.930  0.430  0.500
Te  0.307  0.307  0.000
Te  0.693  0.693  0.000

Top 10 peaks for 2θ from 15° to 90°, in order of rising 2θ:
Position (°2θ), I_rel
16.36, 31.2
23.45, 30.9
26.95, 87.6
29.70, 60.0
32.73, 100.0
32.93, 62.1
46.97, 49.1
50.71, 26.5
54.97, 24.8
58.51, 32.6


Structure and calculated X-ray powder pattern of CsTlHgTe (a GGA-PBE-relaxed structure; Cu Kα (weighted mean of Kα1 and Kα2)).
Lines closer than 0.1° are merged.

Structure:
abc: 5.457 5.457 11.643
angles: 90.00 90.00 90.00
Fractional positions:
Cs  0.250  0.250  0.243
Cs  0.750  0.750  0.757
Tl  0.250  0.750  0.500
Tl  0.750  0.250  0.500
Hg  0.250  0.750  0.000
Hg  0.750  0.250  0.000
Te  0.250  0.250  0.681
Te  0.750  0.750  0.319

Top 10 peaks for 2θ from 15° to 90°, in order of rising 2θ:
Position (°2θ), I_rel
15.22, 9.2
27.74, 100.0
30.72, 13.4
32.82, 39.0
38.75, 9.8
45.57, 18.7
47.11, 13.7
52.80, 8.6
55.55, 29.3
57.29, 9.3


Structure and calculated X-ray powder pattern of CsUHgTe4 (a GGA-PBE-relaxed structure; Cu Kα (weighted mean of Kα1 and Kα2)).
Lines closer than 0.1° are merged.

Structure:
abc: 7.156 7.813 9.992
angles: 90.00 96.08 90.00
Fractional positions:
Cs  0.222  0.250  0.034
Cs  0.778  0.750  0.966
U  0.174  0.750  0.447
U  0.826  0.250  0.553
Hg  0.343  0.250  0.648
Hg  0.657  0.750  0.352
Te  0.082  0.524  0.693
Te  0.082  0.976  0.693
Te  0.325  0.750  0.175
Te  0.458  0.250  0.389
Te  0.542  0.750  0.611
Te  0.675  0.250  0.825
Te  0.918  0.024  0.307
Te  0.918  0.476  0.307

Top 10 peaks for 2θ from 15° to 90°, in order of rising 2θ:
Position (°2θ), I_rel
22.76, 71.0
26.02, 43.2
29.08, 32.4
29.84, 100.0
30.75, 86.3
30.95, 33.1
34.52, 30.9
38.80, 35.5
45.28, 30.2
46.49, 34.3


Structure and calculated X-ray powder pattern of Cs2YHg2Te4 (a GGA-PBE-relaxed structure; Cu Kα (weighted mean of Kα1 and Kα2)).
Lines closer than 0.1° are merged.

Structure:
abc: 9.172 9.172 8.961
angles: 109.13 109.13 29.65
Fractional positions:
Cs  0.134  0.134  0.083
Cs  0.866  0.866  0.917
Y  0.000  0.000  0.500
Hg  0.329  0.329  0.533
Hg  0.671  0.671  0.467
Te  0.186  0.186  0.680
Te  0.498  0.498  0.734
Te  0.502  0.502  0.266
Te  0.814  0.814  0.320

Top 10 peaks for 2θ from 15° to 90°, in order of rising 2θ:
Position (°2θ), I_rel
23.17, 48.1
24.77, 45.7
27.58, 83.8
28.95, 100.0
29.11, 77.7
30.26, 53.7
32.19, 61.9
36.26, 42.8
38.36, 59.4
45.12, 43.6


Structure and calculated X-ray powder pattern of Cs3Tl2Hg6 (a GGA-PBE-relaxed structure; Cu Kα (weighted mean of Kα1 and Kα2)).
Lines closer than 0.1° are merged.

Structure:
abc: 17.333 17.333 17.333
angles: 161.77 161.77 25.90
Fractional positions:
Cs  0.000  0.000  0.000
Cs  0.169  0.169  0.000
Cs  0.831  0.831  0.000
Tl  0.383  0.383  0.000
Tl  0.617  0.617  0.000
Hg  0.080  0.580  0.500
Hg  0.282  0.282  0.000
Hg  0.420  0.920  0.500
Hg  0.580  0.080  0.500
Hg  0.718  0.718  0.000
Hg  0.920  0.420  0.500

Top 10 peaks for 2θ from 15° to 90°, in order of rising 2θ:
Position (°2θ), I_rel
23.50, 66.2
27.91, 65.8
28.81, 54.8
31.29, 38.7
32.61, 100.0
39.54, 32.6
44.06, 35.1
46.78, 37.0
54.29, 42.7
74.42, 37.5


Structure and calculated X-ray powder pattern of Cs7Tl2Hg2 (a GGA-PBE-relaxed structure; Cu Kα (weighted mean of Kα1 and Kα2)).
Lines closer than 0.1° are merged.

Structure:
abc: 8.178 8.178 11.219
angles: 93.52 93.52 106.97
Fractional positions:
Cs  0.000  0.000  0.000
Cs  0.105  0.504  0.789
Cs  0.255  0.255  0.427
Cs  0.496  0.895  0.211
Cs  0.504  0.105  0.789
Cs  0.745  0.745  0.573
Cs  0.895  0.496  0.211
Tl  0.392  0.392  0.086
Tl  0.608  0.608  0.914
Hg  0.243  0.757  0.500
Hg  0.757  0.243  0.500

Top 10 peaks for 2θ from 15° to 90°, in order of rising 2θ:
Position (°2θ), I_rel
15.65, 42.8
20.88, 16.5
23.34, 22.1
23.97, 39.5
24.82, 100.0
25.63, 52.1
26.79, 55.5
27.13, 37.6
27.55, 22.2
37.19, 19.5


Structure and calculated X-ray powder pattern of Cs3TlHg (a GGA-PBE-relaxed structure; Cu Kα (weighted mean of Kα1 and Kα2)).
Lines closer than 0.1° are merged.

Structure:
abc: 9.216 8.798 15.409
angles: 90.00 95.48 90.00
Fractional positions:
Cs  0.085  0.155  0.387
Cs  0.085  0.845  0.887
Cs  0.218  0.391  0.667
Cs  0.218  0.609  0.167
Cs  0.384  0.232  0.953
Cs  0.384  0.768  0.453
Cs  0.616  0.232  0.547
Cs  0.616  0.768  0.047
Cs  0.782  0.391  0.833
Cs  0.782  0.609  0.333
Cs  0.915  0.155  0.113
Cs  0.915  0.845  0.613
Tl  0.350  0.039  0.200
Tl  0.350  0.961  0.700
Tl  0.650  0.039  0.300
Tl  0.650  0.961  0.800
Hg  0.424  0.364  0.337
Hg  0.424  0.636  0.837
Hg  0.576  0.364  0.163
Hg  0.576  0.636  0.663

Top 10 peaks for 2θ from 15° to 90°, in order of rising 2θ:
Position (°2θ), I_rel
22.13, 75.2
23.04, 89.5
23.36, 100.0
24.29, 43.2
24.84, 60.9
25.65, 58.3
27.89, 60.5
29.09, 58.2
32.73, 51.5
34.17, 45.4